# 1
Calculated powder diffractogram
Compound: Dy7Ni2Ag2
Radiation: a wavelength of 1.5418 Å
Structure: a cell relaxed with PBE

```
data_Dy7Ni2Ag2
_symmetry_space_group_name_H-M 'C m m m'
_symmetry_Int_Tables_number 65
_symmetry_space_group_name_Hall '-C 2 2'
_cell_length_a 7.6885
_cell_length_b 10.9523
_cell_length_c 6.9657
_cell_angle_alpha 90.00
_cell_angle_beta 90.00
_cell_angle_gamma 90.00
loop_
_atom_site_label
_atom_site_fract_x
_atom_site_fract_y
_atom_site_fract_z
_atom_site_occupancy
Dy1 0.0000 0.0000 0.0000 1
Dy2 0.0000 0.5000 0.2432 1
Dy3 0.2500 0.2500 0.2496 1
Ni1 0.0000 0.2948 0.0000 1
Ag1 0.1796 0.0000 0.5000 1
```

Principal peaks in the range 2θ = 10–80°, in order of rising 2θ:
| (hkl) | two_theta | intensity |
| --- | --- | --- |
| 2 0 1 | 26.48 | 24 |
| 2 2 0 | 28.37 | 76 |
| 1 1 2 | 29.31 | 55 |
| 0 2 2 | 30.42 | 30 |
| 0 4 0 | 32.71 | 69 |
| 1 3 2 | 37.56 | 44 |
| 2 2 2 | 38.56 | 100 |
| 0 4 4 | 63.29 | 20 |

=====

# 2
Calculated powder diffractogram
Compound: CaSnAu3
Radiation: a wavelength of 1.5418 Å
Structure: a cell relaxed with PBE

```
data_CaSnAu3
_symmetry_space_group_name_H-M 'P 1 21/c 1'
_symmetry_Int_Tables_number 14
_cell_length_a 7.5136
_cell_length_b 7.6153
_cell_length_c 8.4072
_cell_angle_alpha 90.00
_cell_angle_beta 111.48
_cell_angle_gamma 90.00
loop_
_symmetry_equiv_pos_as_xyz
'x,y,z'
'-x,-y,-z'
'-x,y+1/2,-z+1/2'
'x,-y+1/2,z+1/2'
loop_
_atom_site_label
_atom_site_fract_x
_atom_site_fract_y
_atom_site_fract_z
_atom_site_occupancy
Ca1 0.1897 0.0471 0.2258 1
Sn1 0.3878 0.7304 0.5418 1
Au1 0.0272 0.6806 0.0445 1
Au2 0.2110 0.0720 0.8615 1
Au3 0.3921 0.1125 0.6211 1
```

Principal peaks in the range 2θ = 10–80°, in order of rising 2θ:
| (hkl) | two_theta | intensity |
| --- | --- | --- |
| 1 1 -1 | 17.88 | 45 |
| 1 1 1 | 23.09 | 47 |
| 1 1 2 | 32.25 | 49 |
| 1 1 -3 | 34.09 | 77 |
| 3 0 -2 | 36.97 | 100 |
| 1 3 0 | 37.70 | 67 |
| 2 2 1 | 39.69 | 47 |
| 2 0 2 | 40.42 | 55 |

=====

# 3
Calculated powder diffractogram
Compound: Ca2PaZnN4
Radiation: a wavelength of 1.5418 Å
Structure: a cell relaxed with PBE

```
data_Ca2PaZnN4
_symmetry_space_group_name_H-M 'P 1 2/m 1'
_symmetry_Int_Tables_number 10
_cell_length_a 5.5405
_cell_length_b 3.6347
_cell_length_c 5.8741
_cell_angle_alpha 90.00
_cell_angle_beta 103.67
_cell_angle_gamma 90.00
loop_
_symmetry_equiv_pos_as_xyz
'x,y,z'
'-x,-y,-z'
'-x,y,-z'
'x,-y,z'
loop_
_atom_site_label
_atom_site_fract_x
_atom_site_fract_y
_atom_site_fract_z
_atom_site_occupancy
Ca1 0.0000 0.0000 0.0000 1
Ca2 0.5000 0.5000 0.0000 1
Pa1 0.0000 0.5000 0.5000 1
Zn1 0.5000 0.0000 0.5000 1
N1 0.2171 0.5000 0.2544 1
N2 0.2502 0.0000 0.7114 1
```

Principal peaks in the range 2θ = 10–80°, in order of rising 2θ:
| (hkl) | two_theta | intensity |
| --- | --- | --- |
| 0 0 1 | 15.52 | 90 |
| 1 0 0 | 16.47 | 43 |
| 1 1 0 | 29.66 | 40 |
| 0 0 2 | 31.34 | 40 |
| 1 1 -1 | 31.70 | 77 |
| 2 0 0 | 33.28 | 46 |
| 1 1 1 | 35.49 | 100 |
| 2 0 -2 | 40.24 | 43 |

=====

# 4
Calculated powder diffractogram
Compound: Hf8GeBi2
Radiation: a wavelength of 1.5418 Å
Structure: a cell relaxed with PBE

```
data_Hf8GeBi2
_symmetry_space_group_name_H-M 'C 1 2/m 1'
_symmetry_Int_Tables_number 12
_cell_length_a 16.8501
_cell_length_b 3.8426
_cell_length_c 7.7886
_cell_angle_alpha 90.00
_cell_angle_beta 90.39
_cell_angle_gamma 90.00
loop_
_symmetry_equiv_pos_as_xyz
'x,y,z'
'-x,-y,-z'
'-x,y,-z'
'x,-y,z'
'x+1/2,y+1/2,z'
'-x+1/2,-y+1/2,-z'
'-x+1/2,y+1/2,-z'
'x+1/2,-y+1/2,z'
loop_
_atom_site_label
_atom_site_fract_x
_atom_site_fract_y
_atom_site_fract_z
_atom_site_occupancy
Hf1 0.0284 0.0000 0.2444 1
Hf2 0.0867 0.5000 0.5212 1
Hf3 0.1606 0.5000 0.0623 1
Hf4 0.2039 0.0000 0.3621 1
Ge1 0.0000 0.5000 0.0000 1
Bi1 0.1700 0.0000 0.7656 1
```

Principal peaks in the range 2θ = 10–80°, in order of rising 2θ:
| (hkl) | two_theta | intensity |
| --- | --- | --- |
| 3 1 -1 | 30.42 | 11 |
| 1 1 -2 | 33.16 | 100 |
| 6 0 -1 | 33.86 | 24 |
| 5 1 0 | 35.43 | 24 |
| 5 1 1 | 37.38 | 51 |
| 4 0 3 | 40.96 | 19 |
| 0 2 0 | 47.31 | 22 |
| 2 0 -4 | 47.88 | 11 |

=====

# 5
Calculated powder diffractogram
Compound: BaU3Pt4S12
Radiation: a wavelength of 1.5418 Å
Structure: a cell relaxed with PBE

```
data_BaU3Pt4S12
_symmetry_space_group_name_H-M 'R 3 2'
_symmetry_Int_Tables_number 155
_symmetry_space_group_name_Hall 'R 3 2"'
_cell_length_a 13.3746
_cell_length_b 13.3746
_cell_length_c 10.3264
_cell_angle_alpha 90.00
_cell_angle_beta 90.00
_cell_angle_gamma 120.00
loop_
_atom_site_label
_atom_site_fract_x
_atom_site_fract_y
_atom_site_fract_z
_atom_site_occupancy
Ba1 0.0000 0.0000 0.0000 1
U1 0.0000 0.5694 0.0000 1
Pt1 0.0000 0.0000 0.5000 1
Pt2 0.0000 0.4185 0.5000 1
S1 0.0000 0.5887 0.5000 1
S2 0.0000 0.8324 0.5000 1
S3 0.0578 0.2073 0.1998 1
```

Principal peaks in the range 2θ = 10–80°, in order of rising 2θ:
| (hkl) | two_theta | intensity |
| --- | --- | --- |
| 2 1 1 | 22.05 | 43 |
| 2 0 2 | 23.07 | 100 |
| 2 2 0 | 26.67 | 16 |
| 1 3 1 | 29.14 | 63 |
| 0 2 4 | 38.13 | 40 |
| 5 0 2 | 42.78 | 22 |
| 5 1 1 | 44.45 | 20 |
| 5 2 0 | 49.14 | 36 |

=====

# 6
Calculated powder diffractogram
Compound: LiCe2Cl7
Radiation: a wavelength of 1.5418 Å
Structure: a cell relaxed with PBE

```
data_LiCe2Cl7
_symmetry_space_group_name_H-M 'R -3 m'
_symmetry_Int_Tables_number 166
_symmetry_space_group_name_Hall '-R 3 2"'
_cell_length_a 4.9509
_cell_length_b 4.9509
_cell_length_c 38.6892
_cell_angle_alpha 90.00
_cell_angle_beta 90.00
_cell_angle_gamma 120.00
loop_
_atom_site_label
_atom_site_fract_x
_atom_site_fract_y
_atom_site_fract_z
_atom_site_occupancy
Li1 0.0000 0.0000 0.0000 1
Ce1 0.0000 0.0000 0.4277 1
Cl1 0.0000 0.0000 0.0733 1
Cl2 0.0000 0.0000 0.2204 1
Cl3 0.0000 0.0000 0.3580 1
Cl4 0.0000 0.0000 0.5000 1
```

Principal peaks in the range 2θ = 10–80°, in order of rising 2θ:
| (hkl) | two_theta | intensity |
| --- | --- | --- |
| 0 0 6 | 13.73 | 92 |
| 1 0 1 | 20.84 | 90 |
| 0 1 2 | 21.22 | 42 |
| 0 1 5 | 23.72 | 33 |
| 0 1 8 | 27.81 | 32 |
| 1 1 0 | 36.29 | 100 |
| 0 1 14 | 38.77 | 79 |
| 1 1 6 | 38.97 | 42 |

=====

# 7
Calculated powder diffractogram
Compound: LiMg2AlHg2
Radiation: a wavelength of 1.5418 Å
Structure: a cell relaxed with PBE

```
data_LiMg2AlHg2
_symmetry_space_group_name_H-M 'P m c 21'
_symmetry_Int_Tables_number 26
_cell_length_a 4.5961
_cell_length_b 8.4224
_cell_length_c 6.2659
_cell_angle_alpha 90.00
_cell_angle_beta 90.00
_cell_angle_gamma 90.00
loop_
_symmetry_equiv_pos_as_xyz
'x,y,z'
'-x,-y,z+1/2'
'-x,y,z'
'x,-y,z+1/2'
loop_
_atom_site_label
_atom_site_fract_x
_atom_site_fract_y
_atom_site_fract_z
_atom_site_occupancy
Li1 0.0000 0.0351 0.0000 1
Mg1 0.0000 0.3068 0.3581 1
Mg2 0.5000 0.4567 0.0710 1
Al1 0.5000 0.1898 0.7061 1
Hg1 0.0000 0.3526 0.8186 1
Hg2 0.5000 0.1268 0.2579 1
```

Principal peaks in the range 2θ = 10–80°, in order of rising 2θ:
| (hkl) | two_theta | intensity |
| --- | --- | --- |
| 1 1 0 | 22.03 | 72 |
| 0 2 1 | 25.48 | 100 |
| 1 1 1 | 26.27 | 98 |
| 0 0 2 | 28.49 | 44 |
| 1 1 2 | 36.31 | 52 |
| 1 3 0 | 37.54 | 49 |
| 2 2 1 | 47.34 | 39 |
| 2 0 2 | 49.15 | 37 |

=====

# 8
Calculated powder diffractogram
Compound: PrH10Ru3
Radiation: a wavelength of 1.5418 Å
Structure: a cell relaxed with PBE

```
data_PrH10Ru3
_symmetry_space_group_name_H-M 'F m -3 m'
_symmetry_Int_Tables_number 225
_symmetry_space_group_name_Hall '-F 4 2 3'
_cell_length_a 9.3938
_cell_length_b 9.3938
_cell_length_c 9.3938
_cell_angle_alpha 90.00
_cell_angle_beta 90.00
_cell_angle_gamma 90.00
loop_
_atom_site_label
_atom_site_fract_x
_atom_site_fract_y
_atom_site_fract_z
_atom_site_occupancy
Pr1 0.2500 0.2500 0.2500 1
H1 0.0000 0.1646 0.1646 1
H2 0.1035 0.1035 0.3965 1
Ru1 0.0000 0.0000 0.2609 1
```

Principal peaks in the range 2θ = 10–80°, in order of rising 2θ:
| (hkl) | two_theta | intensity |
| --- | --- | --- |
| 2 0 0 | 18.89 | 2 |
| 2 2 0 | 26.84 | 2 |
| 2 2 2 | 33.03 | 100 |
| 4 0 0 | 38.33 | 49 |
| 3 3 3 | 50.48 | 2 |
| 4 4 0 | 55.32 | 34 |
| 6 2 2 | 65.96 | 39 |
| 4 4 4 | 69.30 | 11 |

=====

# 9
Calculated powder diffractogram
Compound: Ac2Tl5Rh3
Radiation: a wavelength of 1.5418 Å
Structure: a cell relaxed with PBE

```
data_Ac2Tl5Rh3
_symmetry_space_group_name_H-M 'C m c 21'
_symmetry_Int_Tables_number 36
_cell_length_a 4.4870
_cell_length_b 27.9077
_cell_length_c 7.9685
_cell_angle_alpha 90.00
_cell_angle_beta 90.00
_cell_angle_gamma 90.00
loop_
_symmetry_equiv_pos_as_xyz
'x,y,z'
'-x,-y,z+1/2'
'-x,y,z'
'x,-y,z+1/2'
'x+1/2,y+1/2,z'
'-x+1/2,-y+1/2,z+1/2'
'-x+1/2,y+1/2,z'
'x+1/2,-y+1/2,z+1/2'
loop_
_atom_site_label
_atom_site_fract_x
_atom_site_fract_y
_atom_site_fract_z
_atom_site_occupancy
Ac1 0.0000 0.0281 0.0000 1
Ac2 0.0000 0.3240 0.8905 1
Tl1 0.0000 0.0964 0.6089 1
Tl2 0.0000 0.2067 0.0861 1
Tl3 0.0000 0.2082 0.6927 1
Tl4 0.0000 0.3713 0.4441 1
Tl5 0.0000 0.4466 0.8300 1
Rh1 0.0000 0.1120 0.2260 1
Rh2 0.0000 0.2651 0.3858 1
Rh3 0.0000 0.4580 0.2142 1
```

Principal peaks in the range 2θ = 10–80°, in order of rising 2θ:
| (hkl) | two_theta | intensity |
| --- | --- | --- |
| 1 1 2 | 30.17 | 62 |
| 1 3 2 | 31.53 | 92 |
| 1 7 1 | 32.06 | 100 |
| 0 10 1 | 34.05 | 45 |
| 1 9 0 | 35.18 | 33 |
| 0 6 3 | 39.05 | 32 |
| 2 0 0 | 40.20 | 58 |
| 2 10 1 | 53.67 | 23 |

=====

# 10
Calculated powder diffractogram
Compound: CaAc12Rh7
Radiation: a wavelength of 1.5418 Å
Structure: a cell relaxed with PBE

```
data_CaAc12Rh7
_symmetry_space_group_name_H-M 'R -3'
_symmetry_Int_Tables_number 148
_symmetry_space_group_name_Hall '-R 3'
_cell_length_a 15.3526
_cell_length_b 15.3526
_cell_length_c 10.4500
_cell_angle_alpha 90.00
_cell_angle_beta 90.00
_cell_angle_gamma 120.00
loop_
_atom_site_label
_atom_site_fract_x
_atom_site_fract_y
_atom_site_fract_z
_atom_site_occupancy
Ca1 0.0000 0.0000 0.0000 1
Ac1 0.0274 0.4409 0.6631 1
Ac2 0.0475 0.8763 0.3269 1
Rh1 0.0000 0.0000 0.5000 1
Rh2 0.0475 0.8592 0.8300 1
```

Principal peaks in the range 2θ = 10–80°, in order of rising 2θ:
| (hkl) | two_theta | intensity |
| --- | --- | --- |
| 1 3 1 | 25.61 | 63 |
| 4 -1 2 | 29.65 | 100 |
| 1 3 4 | 42.43 | 75 |
| 8 -2 1 | 50.22 | 32 |
| 0 0 6 | 52.62 | 26 |
| 8 -2 4 | 61.56 | 12 |
| 5 2 6 | 69.80 | 33 |
| 6 5 4 | 77.66 | 18 |